Simulated powder diffractogram
Compound: NdNi4Pd
Radiation: Cu Kα, 1.54184 Å
Structure: DFT lattice parameters and positions (GGA-PBE)
Peak positions follow from Bragg's law for the DFT cell and can differ from measured ones.

The 10 most intense peaks (2θ = 15–90°), in order of rising 2θ:
| d_spacing | I/Imax |
| --- | --- |
| 4.051 | 5 |
| 3.508 | 2 |
| 2.480 | 53 |
| 2.115 | 100 |
| 2.025 | 21 |
| 1.610 | 2 |
| 1.432 | 19 |
| 1.350 | 30 |
| 1.240 | 22 |
| 1.109 | 8 |

Crystal structure
```
NdNi4Pd
1.0
0.000 3.508 3.508
3.508 0.000 3.508
3.508 3.508 0.000
Nd Ni Pd
1 4 1
Cartesian
0.000 0.000 0.000
4.376 2.640 2.640
2.640 4.376 2.640
2.640 2.640 4.376
4.376 4.376 4.376
1.754 1.754 1.754
```